[1]
Structure and theoretical X-ray diffraction stick pattern of Na3TiF8 (a crystal structure in the Materials Project, relaxed with PBE; λ = 1.5418 Å (Cu Kα)).

Main lines, in order of rising 2θ (2θ from 10° to 90°):
- 2θ = 18.43°, d = 4.813 Å, intensity 37
- 2θ = 19.08°, d = 4.651 Å, intensity 62
- 2θ = 22.72°, d = 3.914 Å, intensity 68
- 2θ = 25.66°, d = 3.472 Å, intensity 40
- 2θ = 26.70°, d = 3.338 Å, intensity 96
- 2θ = 30.11°, d = 2.968 Å, intensity 39
- 2θ = 30.66°, d = 2.916 Å, intensity 100
- 2θ = 36.40°, d = 2.468 Å, intensity 55
- 2θ = 46.40°, d = 1.957 Å, intensity 39
- 2θ = 49.71°, d = 1.834 Å, intensity 99
- 2θ = 54.33°, d = 1.688 Å, intensity 57
- 2θ = 55.02°, d = 1.669 Å, intensity 44

Structural model:
Cell lengths 7.3304, 13.8885, 6.6764 Å; angles 90.00, 90.00, 90.00 degrees
Space group Cmcm (No. 63)
Inequivalent atoms, fractional coordinates:
Na1 0.0000 0.1805 0.2500 [4 per cell]
Na2 0.2445 0.0995 0.7500 [8 per cell]
Ti1 0.0000 0.3535 0.7500 [4 per cell]
F1 0.0000 0.0724 0.5251 [8 per cell]
F2 0.0000 0.3500 0.0363 [8 per cell]
F3 0.1809 0.4472 0.7500 [8 per cell]
F4 0.1894 0.2593 0.7500 [8 per cell]



[2]
Structure and theoretical X-ray diffraction stick pattern of NaTi3F10 (a crystal structure in the Materials Project, relaxed with PBE; λ = 1.5418 Å (Cu Kα)).

Main lines, in order of rising 2θ (2θ from 10° to 90°):
- 2θ = 14.39°, d = 6.156 Å, intensity 13
- 2θ = 17.29°, d = 5.127 Å, intensity 9
- 2θ = 22.24°, d = 3.998 Å, intensity 60
- 2θ = 26.72°, d = 3.337 Å, intensity 100
- 2θ = 45.37°, d = 1.999 Å, intensity 23
- 2θ = 47.17°, d = 1.927 Å, intensity 37
- 2θ = 52.74°, d = 1.736 Å, intensity 11
- 2θ = 53.43°, d = 1.715 Å, intensity 24
- 2θ = 54.96°, d = 1.671 Å, intensity 6
- 2θ = 55.08°, d = 1.667 Å, intensity 13
- 2θ = 67.52°, d = 1.387 Å, intensity 21
- 2θ = 74.04°, d = 1.280 Å, intensity 9

Structural model:
Cell lengths 13.3650, 15.9908, 7.6964 Å; angles 90.00, 90.00, 90.00 degrees
Space group Fdd2 (No. 43)
Inequivalent atoms, fractional coordinates:
Na1 0.0000 0.0000 0.0000 [8 per cell]
Ti1 0.0000 0.0000 0.4813 [8 per cell]
Ti2 0.0003 0.2496 0.4783 [16 per cell]
F1 0.0000 0.1255 0.4828 [16 per cell]
F2 0.0030 0.3660 0.4707 [16 per cell]
F3 0.0447 0.2464 0.2279 [16 per cell]
F4 0.1033 0.4981 0.7931 [16 per cell]
F5 0.1057 0.0014 0.6617 [16 per cell]



[3]
Structure and theoretical X-ray diffraction stick pattern of Na5Ti3F14 (a crystal structure in the Materials Project, relaxed with PBE; λ = 1.5418 Å (Cu Kα)).

Main lines, in order of rising 2θ (2θ from 10° to 90°):
- 2θ = 14.37°, d = 6.165 Å, intensity 22
- 2θ = 16.82°, d = 5.270 Å, intensity 31
- 2θ = 23.41°, d = 3.800 Å, intensity 24
- 2θ = 27.57°, d = 3.235 Å, intensity 19
- 2θ = 28.97°, d = 3.082 Å, intensity 100
- 2θ = 36.79°, d = 2.443 Å, intensity 26
- 2θ = 38.41°, d = 2.343 Å, intensity 16
- 2θ = 47.87°, d = 1.900 Å, intensity 32
- 2θ = 48.38°, d = 1.881 Å, intensity 44
- 2θ = 56.93°, d = 1.617 Å, intensity 35
- 2θ = 57.83°, d = 1.594 Å, intensity 20
- 2θ = 78.27°, d = 1.221 Å, intensity 17

Structural model:
Cell lengths 7.6006, 7.6006, 10.5394 Å; angles 90.00, 90.00, 90.00 degrees
Space group P4/mnc (No. 128)
Inequivalent atoms, fractional coordinates:
Na1 0.0000 0.0000 0.0000 [2 per cell]
Na2 0.2266 0.2734 0.2500 [8 per cell]
Ti1 0.0000 0.0000 0.5000 [2 per cell]
Ti2 0.0000 0.5000 0.0000 [4 per cell]
F1 0.0000 0.0000 0.3154 [4 per cell]
F2 0.0344 0.6892 0.1269 [16 per cell]
F3 0.0732 0.2483 0.5000 [8 per cell]